Starting from the GGA-PBE geometry in Alexandria, the X-ray diffraction stick pattern of MgGa3Ag was computed for Cu Kα.
Kinematic intensities with the Lorentz-polarization factor, no thermal factor.

Cell and atoms:
```
MgGa3Ag
1.0
5.2776 0.0000 0.0000
0.0000 5.3566 0.0000
-2.4371 0.0000 6.6889
Mg Ga Ag
2 6 2
Cartesian
0.8226 1.3392 1.0661 Mg
2.0178 4.0175 5.6228 Mg
-0.7759 0.0282 4.6272 Ga
-0.7759 2.6501 4.6272 Ga
0.8629 4.0175 2.8052 Ga
1.9775 1.3392 3.8838 Ga
3.6164 2.7065 2.0617 Ga
3.6164 5.3284 2.0617 Ga
1.8503 4.0175 0.3039 Ag
0.9901 1.3392 6.3850 Ag
```

Peak list (10 most intense, 2θ from 10° to 90°, in order of rising 2θ)
hkl, two_theta, I (rel.)
1 0 -1, 18.26, 67
1 1 0, 24.46, 71
1 1 -2, 31.46, 48
1 0 2, 37.22, 61
1 0 -3, 38.18, 100
1 2 -1, 38.38, 63
2 1 0, 40.07, 61
1 1 -3, 41.86, 45
1 2 1, 42.70, 54
0 2 2, 43.27, 85